# ReSi3
Theoretical XRD peak list, Cu Kα (weighted mean of Kα1 and Kα2). Input: a GGA-PBE-relaxed structure.
Neutral-atom scattering factors, no anomalous dispersion.

```
8
Lattice="3.046 0.000 0.000 0.000 7.284 0.000 0.000 0.000 5.404" Properties=species:S:1:pos:R:3 pbc="T T T"
Re 0.000 0.000 0.000
Re 1.523 3.642 2.702
Si 0.000 2.279 4.237
Si 0.000 3.642 0.806
Si 0.000 5.005 4.237
Si 1.523 0.000 3.508
Si 1.523 1.363 1.535
Si 1.523 5.922 1.535
```

Top 10 peaks for 10 to 80 degrees two-theta, sorted by position:
2θ (°)	Rel. int.	(hkl)
20.46	100	0 1 1
24.44	37	0 2 0
31.84	23	1 1 0
33.77	52	1 0 1
40.74	25	0 3 1
41.62	30	0 2 2
42.13	50	1 2 1
46.63	41	1 1 2
47.91	18	1 3 0
52.31	17	0 1 3